[1]
This entry pairs a crystal structure of Li3V2C4O12 with its theoretical powder X-ray diffraction pattern. Radiation: Cu Kα. Structure: DFT lattice parameters and positions (GGA+U).
Peak positions follow from Bragg's law for the DFT cell and can differ from measured ones.

Crystal structure
```
data_Li3V2C4O12
_cell_length_a 6.226
_cell_length_b 9.733
_cell_length_c 7.830
_cell_angle_alpha 90.00
_cell_angle_beta 92.10
_cell_angle_gamma 90.00
_space_group_name_H-M_alt 'P 1 21 1'
_space_group_IT_number 4
_space_group_name_Hall 'P 2yb'
loop_
_atom_site_label
_atom_site_fract_x
_atom_site_fract_y
_atom_site_fract_z
_atom_site_occupancy
Li1 0.093 0.000 0.367 1
Li2 0.096 0.000 0.743 1
Li3 0.169 0.517 0.986 1
V1 0.430 0.792 0.950 1
V2 0.465 0.807 0.524 1
C1 0.047 0.259 0.498 1
C2 0.066 0.259 0.005 1
C3 0.399 0.541 0.709 1
C4 0.484 0.569 0.244 1
O1 0.053 0.137 0.946 1
O2 0.055 0.134 0.545 1
O3 0.102 0.828 0.943 1
O4 0.134 0.830 0.505 1
O5 0.207 0.513 0.740 1
O6 0.213 0.327 0.447 1
O7 0.245 0.326 0.019 1
O8 0.428 0.607 0.092 1
O9 0.434 0.943 0.737 1
O10 0.456 0.951 0.331 1
O11 0.468 0.643 0.376 1
O12 0.470 0.670 0.725 1
```

The 8 most intense peaks (2θ from 10° to 90°), in order of rising 2θ:
2θ = 14.24°, rel. 76, (1 0 0)
2θ = 18.23°, rel. 35, (0 2 0)
2θ = 22.73°, rel. 42, (0 0 2)
2θ = 28.70°, rel. 37, (2 0 0)
2θ = 29.29°, rel. 100, (0 2 2)
2θ = 30.16°, rel. 23, (2 1 0)
2θ = 32.33°, rel. 20, (1 2 -2)
2θ = 44.58°, rel. 20, (0 3 3)

[2]
This entry pairs a crystal structure of LiVC2O6 with its theoretical powder X-ray diffraction pattern. Radiation: Cu Kα. Structure: DFT lattice parameters and positions (GGA+U).
Peak positions follow from Bragg's law for the DFT cell and can differ from measured ones.

Crystal structure
```
data_LiVC2O6
_cell_length_a 10.346
_cell_length_b 10.346
_cell_length_c 9.501
_cell_angle_alpha 90.00
_cell_angle_beta 90.00
_cell_angle_gamma 90.00
_space_group_name_H-M_alt 'I -4 2 d'
_space_group_IT_number 122
_space_group_name_Hall 'I -4 2bw'
loop_
_atom_site_label
_atom_site_fract_x
_atom_site_fract_y
_atom_site_fract_z
_atom_site_occupancy
Li1 0.065 0.750 0.125 1
V1 0.229 0.250 0.125 1
C1 0.049 0.215 0.854 1
O1 0.063 0.727 0.447 1
O2 0.070 0.214 0.990 1
O3 0.148 0.194 0.772 1
```

The 8 most intense peaks (2θ from 10° to 90°), in order of rising 2θ:
2θ = 12.65°, rel. 13, (1 0 1)
2θ = 17.14°, rel. 100, (2 0 0)
2θ = 22.31°, rel. 27, (1 1 2)
2θ = 25.46°, rel. 17, (2 0 2)
2θ = 27.51°, rel. 11, (3 0 1)
2θ = 33.25°, rel. 30, (3 1 2)
2θ = 34.68°, rel. 12, (4 0 0)
2θ = 46.15°, rel. 13, (4 1 3)

Q: What is the formula in the second record?
A: LiVC2O6